[1]
Structure and calculated powder diffraction line list of Li3Pu2Br9 (a cell relaxed with PBE; Cu Kα, 1.54184 Å).

Top 10 peaks for 2θ = 10–80°, by intensity:
two_theta  I/Imax
27.13  100
34.93  94
25.45  64
16.11  60
42.27  56
13.81  49
16.58  46
29.33  36
68.54  26
55.96  24

Cell and atoms:
a b c (Å): 7.406 7.406 21.393
angles (deg): 90.00 90.00 120.00
Element x y z (fractional)
1 Li 0.000 0.334 0.250
2 Li 0.000 0.666 0.750
3 Li 0.334 0.000 0.250
4 Li 0.334 0.334 0.750
5 Li 0.666 0.000 0.750
6 Li 0.666 0.666 0.250
7 Pu 0.333 0.667 0.000
8 Pu 0.333 0.667 0.500
9 Pu 0.667 0.333 0.000
10 Pu 0.667 0.333 0.500
11 Br 0.000 0.333 0.750
12 Br 0.000 0.361 0.075
13 Br 0.000 0.361 0.425
14 Br 0.000 0.639 0.575
15 Br 0.000 0.639 0.925
16 Br 0.000 0.667 0.250
17 Br 0.333 0.000 0.750
18 Br 0.333 0.333 0.250
19 Br 0.361 0.000 0.075
20 Br 0.361 0.000 0.425
21 Br 0.361 0.361 0.575
22 Br 0.361 0.361 0.925
23 Br 0.639 0.000 0.575
24 Br 0.639 0.000 0.925
25 Br 0.639 0.639 0.075
26 Br 0.639 0.639 0.425
27 Br 0.667 0.000 0.250
28 Br 0.667 0.667 0.750

[2]
Structure and calculated powder diffraction line list of Li2Pu3Br8 (a cell relaxed with PBE; Cu Kα, 1.54184 Å).

Top 10 peaks for 2θ = 10–80°, by intensity:
two_theta  I/Imax
30.03  100
42.95  65
12.90  52
24.79  40
13.90  22
70.72  18
39.37  15
53.22  14
78.64  13
53.42  13

Cell and atoms:
a b c (Å): 9.392 9.392 11.915
angles (deg): 90.00 90.00 126.64
Element x y z (fractional)
1 Li 0.128 0.872 0.884
2 Li 0.372 0.628 0.384
3 Li 0.628 0.372 0.616
4 Li 0.872 0.128 0.116
5 Pu 0.000 0.000 0.500
6 Pu 0.118 0.382 0.750
7 Pu 0.382 0.118 0.250
8 Pu 0.500 0.500 0.000
9 Pu 0.618 0.882 0.750
10 Pu 0.882 0.618 0.250
11 Br 0.001 0.999 0.248
12 Br 0.125 0.373 0.999
13 Br 0.127 0.375 0.501
14 Br 0.245 0.755 0.745
15 Br 0.255 0.745 0.245
16 Br 0.373 0.125 0.001
17 Br 0.375 0.127 0.499
18 Br 0.499 0.501 0.748
19 Br 0.501 0.499 0.252
20 Br 0.625 0.873 0.501
21 Br 0.627 0.875 0.999
22 Br 0.745 0.255 0.755
23 Br 0.755 0.245 0.255
24 Br 0.873 0.625 0.499
25 Br 0.875 0.627 0.001
26 Br 0.999 0.001 0.752

[3]
Structure and calculated powder diffraction line list of Li2PuBr4 (a cell relaxed with PBE; Cu Kα, 1.54184 Å).

Top 10 peaks for 2θ = 10–80°, by intensity:
two_theta  I/Imax
30.24  100
43.89  72
13.08  67
16.86  54
31.05  46
43.30  38
54.23  36
10.58  34
27.70  34
25.04  29

Cell and atoms:
a b c (Å): 8.359 8.359 11.522
angles (deg): 90.00 90.00 90.00
Element x y z (fractional)
1 Li 0.000 0.217 0.000
2 Li 0.000 0.783 0.500
3 Li 0.217 0.000 0.750
4 Li 0.240 0.240 0.375
5 Li 0.240 0.760 0.125
6 Li 0.760 0.240 0.625
7 Li 0.760 0.760 0.875
8 Li 0.783 0.000 0.250
9 Pu 0.249 0.500 0.750
10 Pu 0.500 0.249 0.000
11 Pu 0.500 0.751 0.500
12 Pu 0.751 0.500 0.250
13 Br 0.004 0.238 0.761
14 Br 0.004 0.762 0.739
15 Br 0.238 0.004 0.989
16 Br 0.238 0.493 0.009
17 Br 0.238 0.507 0.491
18 Br 0.238 0.996 0.511
19 Br 0.493 0.238 0.741
20 Br 0.493 0.762 0.759
21 Br 0.507 0.238 0.259
22 Br 0.507 0.762 0.241
23 Br 0.762 0.004 0.011
24 Br 0.762 0.493 0.991
25 Br 0.762 0.507 0.509
26 Br 0.762 0.996 0.489
27 Br 0.996 0.238 0.239
28 Br 0.996 0.762 0.261

[4]
Structure and calculated powder diffraction line list of Rb3Li2PuBr8 (a cell relaxed with PBE; Cu Kα, 1.54184 Å).

Top 10 peaks for 2θ = 10–80°, by intensity:
two_theta  I/Imax
27.77  100
29.01  92
31.92  87
22.68  76
46.32  59
15.80  56
13.04  50
45.21  49
37.94  44
43.96  29

Cell and atoms:
a b c (Å): 7.841 7.841 9.942
angles (deg): 90.00 90.00 120.00
Element x y z (fractional)
1 Rb 0.000 0.000 0.000
2 Rb 0.333 0.667 0.631
3 Rb 0.667 0.333 0.369
4 Li 0.333 0.667 0.192
5 Li 0.667 0.333 0.808
6 Pu 0.000 0.000 0.500
7 Br 0.168 0.335 0.326
8 Br 0.168 0.832 0.326
9 Br 0.333 0.667 0.955
10 Br 0.335 0.168 0.674
11 Br 0.665 0.832 0.326
12 Br 0.667 0.333 0.045
13 Br 0.832 0.168 0.674
14 Br 0.832 0.665 0.674